No. 1
Diffraction record for ZrTe2As2Pd. The X-ray powder pattern is calculated, not measured: it uses the PBE geometry in OQMD and Cu Kα, 1.54184 Å.

Most intense lines, 10° ≤ 2θ ≤ 90°, most intense first:
2θ = 31.3°, rel. 100; 2θ = 41.4°, rel. 57; 2θ = 40.3°, rel. 50; 2θ = 31.8°, rel. 49; 2θ = 36.1°, rel. 44; 2θ = 38.9°, rel. 40; 2θ = 47.2°, rel. 27; 2θ = 62.8°, rel. 19; 2θ = 60.8°, rel. 19; 2θ = 33.1°, rel. 18

Crystal structure
Lattice parameters (Å, degrees): 7.207 7.207 7.207 149.01 135.95 54.83
Fractional positions:
Zr (0.000, 0.000, 0.000)
Te (0.178, 0.678, 0.500)
Te (0.599, 0.099, 0.500)
As (0.146, 0.388, 0.758)
As (0.630, 0.388, 0.242)
Pd (0.756, 0.756, 0.000)

=====

No. 2
Diffraction record for ThAs2Pd4. The X-ray powder pattern is calculated, not measured: it uses the PBE geometry in OQMD and Cu Kα, 1.54184 Å.

Most intense lines, 10° ≤ 2θ ≤ 90°, most intense first:
2θ = 33.7°, rel. 100; 2θ = 36.7°, rel. 49; 2θ = 42.9°, rel. 40; 2θ = 39.4°, rel. 38; 2θ = 43.5°, rel. 30; 2θ = 64.2°, rel. 26; 2θ = 58.2°, rel. 26; 2θ = 32.7°, rel. 17; 2θ = 24.3°, rel. 15; 2θ = 48.5°, rel. 14

Crystal structure
Lattice parameters (Å, degrees): 7.743 7.743 4.157 90.00 90.00 90.00
Fractional positions:
Th (0.000, 0.000, 0.000)
Th (0.500, 0.500, 0.500)
As (0.218, 0.218, 0.500)
As (0.282, 0.718, 0.000)
As (0.718, 0.282, 0.000)
As (0.782, 0.782, 0.500)
Pd (0.094, 0.656, 0.500)
Pd (0.156, 0.406, 0.000)
Pd (0.344, 0.906, 0.500)
Pd (0.406, 0.156, 0.000)
Pd (0.594, 0.844, 0.000)
Pd (0.656, 0.094, 0.500)
Pd (0.844, 0.594, 0.000)
Pd (0.906, 0.344, 0.500)

=====

No. 3
Diffraction record for Zr3As4Pd4. The X-ray powder pattern is calculated, not measured: it uses the PBE geometry in OQMD and Cu Kα, 1.54184 Å.

Most intense lines, 10° ≤ 2θ ≤ 90°, most intense first:
2θ = 35.2°, rel. 100; 2θ = 41.9°, rel. 70; 2θ = 45.7°, rel. 54; 2θ = 37.1°, rel. 46; 2θ = 37.2°, rel. 41; 2θ = 35.1°, rel. 38; 2θ = 44.2°, rel. 25; 2θ = 42.6°, rel. 20; 2θ = 42.4°, rel. 18; 2θ = 47.2°, rel. 18

Crystal structure
Lattice parameters (Å, degrees): 6.646 3.967 7.714 90.00 90.36 90.00
Fractional positions:
Zr (0.000, 0.000, 0.000)
Zr (0.075, 0.500, 0.376)
Zr (0.506, 0.000, 0.868)
As (0.290, 0.500, 0.061)
As (0.315, 0.000, 0.564)
As (0.778, 0.500, 0.804)
As (0.789, 0.000, 0.314)
Pd (0.180, 0.500, 0.746)
Pd (0.394, 0.000, 0.250)
Pd (0.689, 0.500, 0.130)
Pd (0.907, 0.000, 0.625)

=====

No. 4
Diffraction record for PmAsSe. The X-ray powder pattern is calculated, not measured: it uses the PBE geometry in OQMD and Cu Kα, 1.54184 Å.

Most intense lines, 10° ≤ 2θ ≤ 90°, most intense first:
2θ = 37.7°, rel. 100; 2θ = 33.3°, rel. 78; 2θ = 45.5°, rel. 59; 2θ = 41.8°, rel. 51; 2θ = 33.6°, rel. 46; 2θ = 29.8°, rel. 44; 2θ = 31.7°, rel. 38; 2θ = 22.9°, rel. 32; 2θ = 55.4°, rel. 30; 2θ = 63.5°, rel. 29

Crystal structure
Lattice parameters (Å, degrees): 9.426 9.426 9.426 155.58 155.58 34.80
Fractional positions:
Pm (0.139, 0.139, 0.000)
Pm (0.861, 0.861, 0.000)
As (0.000, 0.500, 0.500)
As (0.500, 0.000, 0.500)
Se (0.312, 0.312, 0.000)
Se (0.688, 0.688, 0.000)

=====

No. 5
Diffraction record for Pm3Sn4As. The X-ray powder pattern is calculated, not measured: it uses the PBE geometry in OQMD and Cu Kα, 1.54184 Å.

Most intense lines, 10° ≤ 2θ ≤ 90°, most intense first:
2θ = 30.0°, rel. 100; 2θ = 40.6°, rel. 92; 2θ = 30.2°, rel. 85; 2θ = 36.3°, rel. 64; 2θ = 38.6°, rel. 61; 2θ = 36.8°, rel. 58; 2θ = 26.9°, rel. 55; 2θ = 36.6°, rel. 54; 2θ = 36.2°, rel. 50; 2θ = 26.6°, rel. 48

Crystal structure
Lattice parameters (Å, degrees): 7.869 7.869 4.445 105.65 105.65 64.59
Fractional positions:
Pm (0.000, 0.000, 0.000)
Pm (0.343, 0.343, 0.849)
Pm (0.657, 0.657, 0.151)
Sn (0.084, 0.668, 0.381)
Sn (0.332, 0.916, 0.619)
Sn (0.668, 0.084, 0.381)
Sn (0.916, 0.332, 0.619)
As (0.500, 0.500, 0.500)

=====

No. 6
Diffraction record for PrAs2. The X-ray powder pattern is calculated, not measured: it uses the PBE geometry in OQMD and Cu Kα, 1.54184 Å.

Most intense lines, 10° ≤ 2θ ≤ 90°, most intense first:
2θ = 33.7°, rel. 100; 2θ = 34.8°, rel. 81; 2θ = 29.2°, rel. 41; 2θ = 38.2°, rel. 37; 2θ = 47.5°, rel. 36; 2θ = 27.3°, rel. 29; 2θ = 25.7°, rel. 26; 2θ = 43.7°, rel. 26; 2θ = 37.0°, rel. 18; 2θ = 24.0°, rel. 18

Crystal structure
Lattice parameters (Å, degrees): 4.166 6.935 10.667 90.00 106.71 90.00
Fractional positions:
Pr (0.089, 0.187, 0.360)
Pr (0.089, 0.313, 0.860)
Pr (0.911, 0.687, 0.140)
Pr (0.911, 0.813, 0.640)
As (0.273, 0.623, 0.450)
As (0.273, 0.877, 0.950)
As (0.461, 0.145, 0.671)
As (0.461, 0.355, 0.171)
As (0.539, 0.645, 0.829)
As (0.539, 0.855, 0.329)
As (0.727, 0.123, 0.050)
As (0.727, 0.377, 0.550)

=====

No. 7
Diffraction record for Pr3As4. The X-ray powder pattern is calculated, not measured: it uses the PBE geometry in OQMD and Cu Kα, 1.54184 Å.

Most intense lines, 10° ≤ 2θ ≤ 90°, most intense first:
2θ = 31.6°, rel. 100; 2θ = 37.6°, rel. 75; 2θ = 64.1°, rel. 32; 2θ = 24.4°, rel. 30; 2θ = 45.3°, rel. 26; 2θ = 78.5°, rel. 18; 2θ = 47.7°, rel. 17; 2θ = 67.9°, rel. 16; 2θ = 52.1°, rel. 16; 2θ = 49.9°, rel. 12

Crystal structure
Lattice parameters (Å, degrees): 7.752 7.752 7.752 109.47 109.47 109.47
Fractional positions:
Pr (0.125, 0.750, 0.875)
Pr (0.250, 0.625, 0.375)
Pr (0.375, 0.250, 0.625)
Pr (0.625, 0.375, 0.250)
Pr (0.750, 0.875, 0.125)
Pr (0.875, 0.125, 0.750)
As (0.000, 0.339, 0.500)
As (0.000, 0.839, 0.500)
As (0.161, 0.161, 0.161)
As (0.339, 0.500, 0.000)
As (0.500, 0.000, 0.339)
As (0.500, 0.000, 0.839)
As (0.661, 0.661, 0.661)
As (0.839, 0.500, 0.000)

=====

No. 8
Diffraction record for Pr2AsPt8. The X-ray powder pattern is calculated, not measured: it uses the PBE geometry in OQMD and Cu Kα, 1.54184 Å.

Most intense lines, 10° ≤ 2θ ≤ 90°, most intense first:
2θ = 36.7°, rel. 100; 2θ = 41.9°, rel. 41; 2θ = 44.1°, rel. 39; 2θ = 38.8°, rel. 30; 2θ = 38.5°, rel. 22; 2θ = 16.9°, rel. 21; 2θ = 30.4°, rel. 17; 2θ = 40.7°, rel. 17; 2θ = 60.8°, rel. 14; 2θ = 73.1°, rel. 14

Crystal structure
Lattice parameters (Å, degrees): 4.309 9.278 9.278 145.49 90.00 90.00
Fractional positions:
Pr (0.000, 0.124, 0.876)
Pr (0.000, 0.876, 0.124)
As (0.500, 0.265, 0.265)
Pt (0.000, 0.302, 0.707)
Pt (0.000, 0.508, 0.508)
Pt (0.000, 0.707, 0.302)
Pt (0.500, 0.008, 0.512)
Pt (0.500, 0.391, 0.618)
Pt (0.500, 0.512, 0.008)
Pt (0.500, 0.618, 0.391)
Pt (0.500, 0.844, 0.844)

=====

No. 9
Diffraction record for PrSiAs3Pt6. The X-ray powder pattern is calculated, not measured: it uses the PBE geometry in OQMD and Cu Kα, 1.54184 Å.

Most intense lines, 10° ≤ 2θ ≤ 90°, most intense first:
2θ = 35.6°, rel. 100; 2θ = 43.6°, rel. 28; 2θ = 43.4°, rel. 21; 2θ = 49.9°, rel. 21; 2θ = 68.2°, rel. 17; 2θ = 37.6°, rel. 15; 2θ = 42.8°, rel. 13; 2θ = 25.6°, rel. 12; 2θ = 68.4°, rel. 12; 2θ = 74.6°, rel. 12

Crystal structure
Lattice parameters (Å, degrees): 7.314 7.314 4.167 90.00 90.00 120.00
Fractional positions:
Pr (0.000, 0.000, 0.000)
Si (0.333, 0.667, 0.000)
As (0.387, 0.194, 0.500)
As (0.806, 0.194, 0.500)
As (0.806, 0.613, 0.500)
Pt (0.198, 0.396, 0.500)
Pt (0.198, 0.802, 0.500)
Pt (0.524, 0.048, 0.000)
Pt (0.524, 0.476, 0.000)
Pt (0.604, 0.802, 0.500)
Pt (0.952, 0.476, 0.000)

=====

No. 10
Diffraction record for Pr3As2Se. The X-ray powder pattern is calculated, not measured: it uses the PBE geometry in OQMD and Cu Kα, 1.54184 Å.

Most intense lines, 10° ≤ 2θ ≤ 90°, most intense first:
2θ = 29.4°, rel. 100; 2θ = 42.1°, rel. 75; 2θ = 69.1°, rel. 33; 2θ = 52.2°, rel. 20; 2θ = 76.9°, rel. 19; 2θ = 25.4°, rel. 16; 2θ = 61.0°, rel. 12; 2θ = 49.8°, rel. 8; 2θ = 52.0°, rel. 6; 2θ = 76.7°, rel. 6

Crystal structure
Lattice parameters (Å, degrees): 4.294 4.294 10.543 90.00 90.00 120.00
Fractional positions:
Pr (0.000, 0.000, 0.000)
Pr (0.333, 0.667, 0.324)
Pr (0.667, 0.333, 0.676)
As (0.333, 0.667, 0.832)
As (0.667, 0.333, 0.168)
Se (0.000, 0.000, 0.500)

=====

No. 11
Diffraction record for Tb2PrAs3. The X-ray powder pattern is calculated, not measured: it uses the PBE geometry in OQMD and Cu Kα, 1.54184 Å.

Most intense lines, 10° ≤ 2θ ≤ 90°, most intense first:
2θ = 30.2°, rel. 100; 2θ = 43.2°, rel. 75; 2θ = 71.1°, rel. 33; 2θ = 53.6°, rel. 26; 2θ = 79.2°, rel. 25; 2θ = 26.0°, rel. 20; 2θ = 62.7°, rel. 12; 2θ = 51.1°, rel. 11; 2θ = 69.1°, rel. 4; 2θ = 85.1°, rel. 4

Crystal structure
Lattice parameters (Å, degrees): 4.192 4.192 10.260 90.00 90.00 120.00
Fractional positions:
Tb (0.333, 0.667, 0.337)
Tb (0.667, 0.333, 0.663)
Pr (0.000, 0.000, 0.000)
As (0.000, 0.000, 0.500)
As (0.333, 0.667, 0.824)
As (0.667, 0.333, 0.176)

=====

No. 12
Diffraction record for Pr4Te3As. The X-ray powder pattern is calculated, not measured: it uses the PBE geometry in OQMD and Cu Kα, 1.54184 Å.

Most intense lines, 10° ≤ 2θ ≤ 90°, most intense first:
2θ = 28.2°, rel. 100; 2θ = 40.2°, rel. 49; 2θ = 65.9°, rel. 20; 2θ = 50.2°, rel. 13; 2θ = 40.7°, rel. 13; 2θ = 49.4°, rel. 12; 2θ = 39.8°, rel. 12; 2θ = 58.2°, rel. 12; 2θ = 73.8°, rel. 8; 2θ = 72.5°, rel. 7

Crystal structure
Lattice parameters (Å, degrees): 7.796 7.796 4.432 90.00 90.00 108.96
Fractional positions:
Pr (0.225, 0.225, 0.500)
Pr (0.235, 0.765, 0.000)
Pr (0.765, 0.235, 0.000)
Pr (0.775, 0.775, 0.500)
Te (0.000, 0.500, 0.500)
Te (0.500, 0.000, 0.500)
Te (0.500, 0.500, 0.000)
As (0.000, 0.000, 0.000)